1.
For Ta3In2Se6, the PBE geometry in the Materials Project gives the computed X-ray diffraction stick pattern in this record (Cu Kα (λ = 1.5418 Å)).

Cell and atoms:
a b c (Å): 3.4944 3.4944 25.9336
angles (deg): 90.00 90.00 120.00
Space group P-6m2 (No. 187)
Symmetry-distinct sites (fractional):
Ta 0.0000 0.0000 0.0000
Ta 0.0000 0.0000 0.3329
In 0.0000 0.0000 0.1676
Se 0.6667 0.3333 0.0644
Se 0.6667 0.3333 0.2681
Se 0.6667 0.3333 0.3968

Main lines, by angle (2θ from 10° to 80°):
| 2theta | I_rel |
| --- | --- |
| 10.23 | 71.6 |
| 20.55 | 11.3 |
| 29.52 | 39.0 |
| 31.32 | 10.0 |
| 36.24 | 100.0 |
| 43.36 | 23.9 |
| 52.00 | 19.4 |
| 52.37 | 26.9 |
| 65.34 | 17.9 |
| 69.14 | 10.5 |



2.
For LaPdPb, the PBE geometry in the Materials Project gives the computed X-ray diffraction stick pattern in this record (Cu Kα (λ = 1.5418 Å)).

Cell and atoms:
a b c (Å): 7.9099 7.9099 4.2282
angles (deg): 90.00 90.00 120.00
Space group P-62m (No. 189)
Symmetry-distinct sites (fractional):
La 0.0000 0.5893 0.0000
Pd 0.0000 0.0000 0.0000
Pd 0.3333 0.6667 0.5000
Pb 0.0000 0.2524 0.5000

Main lines, by angle (2θ from 10° to 80°):
| 2theta | I_rel |
| --- | --- |
| 30.96 | 100.0 |
| 33.68 | 77.8 |
| 34.65 | 63.8 |
| 39.46 | 28.2 |
| 40.87 | 37.7 |
| 42.77 | 26.7 |
| 52.83 | 11.8 |
| 56.17 | 32.5 |
| 59.60 | 16.8 |
| 63.11 | 33.5 |



3.
For Mg2TaNb2O8, the PBE geometry in the Materials Project gives the computed X-ray diffraction stick pattern in this record (Cu Kα (λ = 1.5418 Å)).

Cell and atoms:
a b c (Å): 5.2301 5.9824 10.0046
angles (deg): 103.86 93.27 91.72
Space group P-1 (No. 2)
Symmetry-distinct sites (fractional):
Mg 0.2328 0.0811 0.4474
Mg 0.2548 0.6391 0.5397
Ta 0.2454 0.8435 0.0064
Nb 0.2813 0.2526 0.7523
Nb 0.2842 0.4920 0.2322
O 0.0656 0.4202 0.6323
O 0.0673 0.7053 0.1363
O 0.0959 0.1705 0.1018
O 0.1344 0.9566 0.6168
O 0.3758 0.3462 0.3831
O 0.3897 0.5912 0.8853
O 0.4133 0.0525 0.8871
O 0.4273 0.7989 0.3805

Main lines, by angle (2θ from 10° to 80°):
| 2theta | I_rel |
| --- | --- |
| 19.64 | 73.1 |
| 20.85 | 61.6 |
| 25.20 | 63.6 |
| 26.67 | 100.0 |
| 27.36 | 59.1 |
| 28.18 | 47.0 |
| 30.71 | 54.3 |
| 34.22 | 58.3 |
| 34.38 | 69.1 |
| 35.02 | 62.9 |



4.
For HoUTe3, the PBE geometry in the Materials Project gives the computed X-ray diffraction stick pattern in this record (Cu Kα (λ = 1.5418 Å)).

Cell and atoms:
a b c (Å): 12.0608 4.2760 11.8564
angles (deg): 90.00 90.00 90.00
Space group Pnma (No. 62)
Symmetry-distinct sites (fractional):
Ho 0.1938 0.2500 0.0034
U 0.0074 0.2500 0.6886
Te 0.0452 0.7500 0.8778
Te 0.1235 0.2500 0.4465
Te 0.2298 0.7500 0.1991

Main lines, by angle (2θ from 10° to 80°):
| 2theta | I_rel |
| --- | --- |
| 21.01 | 44.6 |
| 22.10 | 46.0 |
| 26.76 | 100.0 |
| 29.69 | 75.1 |
| 30.81 | 72.4 |
| 31.71 | 60.5 |
| 34.14 | 78.9 |
| 37.27 | 62.8 |
| 37.67 | 50.5 |
| 42.27 | 64.9 |